This entry pairs a crystal structure of ErTmPaO6 with its theoretical powder XRD pattern. Radiation: a wavelength of 1.5418 Å. Structure: a GGA-PBE-relaxed structure.
Kinematic intensities with the Lorentz-polarization factor, no thermal factor.

```
data_ErTmPaO6
_cell_length_a 5.712
_cell_length_b 5.712
_cell_length_c 4.674
_cell_angle_alpha 90.00
_cell_angle_beta 90.00
_cell_angle_gamma 120.00
_space_group_name_H-M_alt 'P 1'
_space_group_IT_number 1
loop_
_space_group_symop_operation_xyz
'x,y,z'
loop_
_atom_site_label
_atom_site_type_symbol
_atom_site_fract_x
_atom_site_fract_y
_atom_site_fract_z
Er1 Er 0.000 0.000 0.000
Tm1 Tm 0.667 0.333 0.000
Pa1 Pa 0.333 0.667 0.500
O1 O 0.010 0.345 0.756
O2 O 0.010 0.665 0.244
O3 O 0.335 0.345 0.244
O4 O 0.335 0.990 0.756
O5 O 0.655 0.665 0.756
O6 O 0.655 0.990 0.244
```

The 10 most intense peaks (2θ = 5–70°), in order of rising 2θ:
d_spacing  Position (°2θ)  intensity  (hkl)
3.397  26.2  100  1 0 1
2.856  31.3  54  1 1 0
2.337  38.5  9  0 0 2
2.186  41.3  31  2 0 1
1.809  50.5  40  1 1 2
1.736  52.7  30  3 -1 1
1.649  55.7  17  3 0 0
1.486  62.5  9  1 0 3
1.428  65.3  7  2 2 0
1.347  69.8  10  3 0 2